Calculated powder XRD pattern of KHg5Sb2 for Cu Kα, from a structure optimized by DFT (GGA-PBE).

Cell and atoms:
Cell lengths 5.9558, 6.1866, 8.2317 Å; angles 89.45, 71.58, 75.28 degrees
Fractional positions:
K 0.0000 0.0000 0.0000
Hg 0.2198 0.3641 0.6811
Hg 0.2885 0.1812 0.3061
Hg 0.5000 0.5000 0.0000
Hg 0.7115 0.8188 0.6939
Hg 0.7802 0.6359 0.3189
Sb 0.2645 0.7018 0.3293
Sb 0.7355 0.2982 0.6707

Peak list (12 most intense, 2θ = 15–90°, in order of rising 2θ)
2θ (°)  I (rel.)  (hkl)
16.56  41  1 0 1
22.84  31  0 0 2
24.20  49  1 1 -1
24.88  40  1 -1 0
26.37  67  1 1 2
31.07  69  2 0 1
31.27  100  0 2 -1
32.90  44  2 0 0
34.56  77  0 0 3
38.39  50  2 2 0
39.44  75  0 2 2
46.46  31  2 0 -2